# 1
Theoretical PXRD pattern of LiMg6Bi for Cu Kα, from a structure optimized by DFT (GGA-PBE).
No peak broadening, texture or thermal motion is included.

Principal peaks in the range 2θ = 15–90°, most intense first:
- (0 0 2), 15.8°, rel. 100
- (1 1 1), 23.5°, rel. 96
- (1 2 2), 36.5°, rel. 64
- (1 0 0), 17.3°, rel. 37
- (1 0 4), 36.6°, rel. 34
- (0 2 2), 31.9°, rel. 29
- (0 1 3), 27.6°, rel. 25
- (2 0 2), 38.7°, rel. 24

Structural model:
a b c (Å): 5.118 6.490 11.176
angles (deg): 90.00 90.00 90.00
Space group Amm2 (No. 38)
One atom of each set of equivalent atoms:
Li 0.000 0.000 0.000
Mg 0.000 0.000 0.499
Mg 0.000 0.241 0.242
Mg 0.500 0.000 0.331
Mg 0.500 0.249 0.080
Bi 0.500 0.000 0.835

***

# 2
Theoretical PXRD pattern of LiMg14Bi for Cu Kα, from a structure optimized by DFT (GGA-PBE).
No peak broadening, texture or thermal motion is included.

Principal peaks in the range 2θ = 15–90°, most intense first:
- (2 2 2), 36.9°, rel. 100
- (1 1 1), 18.2°, rel. 90
- (0 1 1), 16.1°, rel. 57
- (2 1 1), 23.4°, rel. 52
- (2 0 4), 36.4°, rel. 51
- (4 0 0), 34.2°, rel. 40
- (1 1 3), 29.1°, rel. 30
- (3 1 3), 38.0°, rel. 29

Structural model:
a b c (Å): 10.496 6.322 11.183
angles (deg): 90.00 90.00 90.00
Space group Amm2 (No. 38)
One atom of each set of equivalent atoms:
Li 0.000 0.000 0.000
Mg 0.000 0.249 0.249
Mg 0.252 0.000 0.166
Mg 0.254 0.000 0.669
Mg 0.254 0.246 0.915
Mg 0.500 0.000 0.500
Mg 0.500 0.000 0.999
Mg 0.500 0.249 0.750
Bi 0.000 0.000 0.499

***

# 3
Theoretical PXRD pattern of LiMg6BiO8 for Cu Kα, from a structure optimized by DFT (GGA-PBE).
No peak broadening, texture or thermal motion is included.

Principal peaks in the range 2θ = 15–90°, most intense first:
- (1 0 1), 22.4°, rel. 100
- (2 0 0), 40.6°, rel. 99
- (0 0 3), 30.2°, rel. 79
- (0 0 2), 20.0°, rel. 64
- (2 2 0), 58.8°, rel. 59
- (1 0 2), 28.4°, rel. 55
- (1 1 2), 35.0°, rel. 44
- (1 0 3), 36.5°, rel. 34

Structural model:
a b c (Å): 4.444 4.444 8.867
angles (deg): 90.00 90.00 90.00
Space group P4/mmm (No. 123)
One atom of each set of equivalent atoms:
Li 0.000 0.000 0.000
Mg 0.000 0.500 0.224
Mg 0.500 0.500 0.000
Mg 0.500 0.500 0.500
Bi 0.000 0.000 0.500
O 0.000 0.000 0.237
O 0.000 0.500 0.000
O 0.000 0.500 0.500
O 0.500 0.500 0.254